# 1
For SiAgPt5, a structure optimized by DFT (GGA-PBE) gives the calculated powder XRD pattern in this record (Cu Kα X-rays).
Peak positions follow from Bragg's law for the DFT cell and can differ from measured ones.

Largest 8 diffraction maxima, in order of rising 2θ, 10° ≤ 2θ ≤ 80°:
2θ/deg	Rel. int.
31.8	19
34.3	41
38.0	24
41.0	100
45.7	47
60.9	24
66.6	15
74.9	19

```
SiAgPt5
1.0
3.974 0.000 0.000
0.000 3.974 0.000
0.000 0.000 7.104
Si Ag Pt
1 1 5
direct
0.000 0.000 0.000
0.500 0.500 0.500
0.000 0.000 0.500
0.000 0.500 0.204
0.000 0.500 0.796
0.500 0.000 0.204
0.500 0.000 0.796
```

---

# 2
For Sr2AgPt, a structure optimized by DFT (GGA-PBE) gives the calculated powder XRD pattern in this record (Cu Kα X-rays).
Peak positions follow from Bragg's law for the DFT cell and can differ from measured ones.

Largest 8 diffraction maxima, in order of rising 2θ, 10° ≤ 2θ ≤ 80°:
2θ/deg	Rel. int.
20.2	6
23.4	8
33.3	100
47.9	18
53.9	4
59.6	37
70.0	11
79.8	16

```
Sr2AgPt
1.0
0.000 3.802 3.802
3.802 0.000 3.802
3.802 3.802 0.000
Sr Ag Pt
2 1 1
direct
0.250 0.250 0.250
0.750 0.750 0.750
0.000 0.000 0.000
0.500 0.500 0.500
```

---

# 3
For Tm2AgPt, a structure optimized by DFT (GGA-PBE) gives the calculated powder XRD pattern in this record (Cu Kα X-rays).
Peak positions follow from Bragg's law for the DFT cell and can differ from measured ones.

Largest 8 diffraction maxima, in order of rising 2θ, 10° ≤ 2θ ≤ 80°:
2θ/deg	Rel. int.
21.9	3
36.2	100
42.7	2
52.1	18
57.2	1
65.1	36
69.6	1
76.8	11

```
Tm2AgPt
1.0
0.000 3.509 3.509
3.509 0.000 3.509
3.509 3.509 0.000
Tm Ag Pt
2 1 1
direct
0.250 0.250 0.250
0.750 0.750 0.750
0.000 0.000 0.000
0.500 0.500 0.500
```

---

# 4
For Rb3Ag9Sb4S12, a structure optimized by DFT (GGA-PBE) gives the calculated powder XRD pattern in this record (Cu Kα X-rays).
Peak positions follow from Bragg's law for the DFT cell and can differ from measured ones.

Largest 8 diffraction maxima, in order of rising 2θ, 10° ≤ 2θ ≤ 80°:
2θ/deg	Rel. int.
11.2	21
25.3	41
28.8	100
29.9	15
34.0	15
40.4	24
49.8	23
53.1	17

```
Rb3Ag9Sb4S12
1.0
-5.567 5.567 5.934
5.567 -5.567 5.934
5.567 5.567 -5.934
Rb Ag Sb S
3 9 4 12
direct
0.000 0.000 0.000
0.328 0.328 0.000
0.672 0.672 0.000
0.159 0.666 0.152
0.250 0.750 0.500
0.334 0.487 0.494
0.502 0.006 0.169
0.513 0.007 0.848
0.668 0.498 0.505
0.837 0.332 0.831
0.993 0.841 0.506
0.994 0.163 0.495
0.121 0.607 0.741
0.393 0.134 0.513
0.620 0.879 0.487
0.866 0.380 0.259
0.107 0.430 0.219
0.112 0.893 0.323
0.211 0.888 0.781
0.308 0.332 0.645
0.337 0.692 0.023
0.418 0.212 0.310
0.570 0.789 0.677
0.668 0.313 0.977
0.687 0.663 0.355
0.788 0.098 0.206
0.892 0.582 0.794
0.902 0.108 0.690
```

---

# 5
For Rb2AgSbS4, a structure optimized by DFT (GGA-PBE) gives the calculated powder XRD pattern in this record (Cu Kα X-rays).
Peak positions follow from Bragg's law for the DFT cell and can differ from measured ones.

Largest 8 diffraction maxima, in order of rising 2θ, 10° ≤ 2θ ≤ 80°:
2θ/deg	Rel. int.
23.3	100
24.0	29
24.4	41
28.6	42
32.5	41
32.6	27
33.7	53
50.1	34

```
Rb2AgSbS4
1.0
8.382 0.000 0.000
0.000 10.992 0.000
-8.109 0.000 10.633
Rb Ag Sb S
8 4 4 16
direct
0.113 0.008 0.237
0.113 0.492 0.737
0.370 0.729 0.511
0.370 0.771 0.011
0.630 0.229 0.989
0.630 0.271 0.489
0.887 0.508 0.263
0.887 0.992 0.763
0.349 0.532 0.220
0.349 0.968 0.720
0.651 0.032 0.280
0.651 0.468 0.780
0.184 0.224 0.540
0.184 0.276 0.040
0.816 0.724 0.960
0.816 0.776 0.460
0.140 0.725 0.157
0.140 0.775 0.657
0.168 0.183 0.708
0.168 0.317 0.208
0.321 0.078 0.062
0.321 0.422 0.562
0.389 0.068 0.551
0.389 0.432 0.051
0.611 0.568 0.949
0.611 0.932 0.449
0.679 0.578 0.438
0.679 0.922 0.938
0.832 0.683 0.792
0.832 0.817 0.292
0.860 0.225 0.343
0.860 0.275 0.843
```

---

# 6
For Rb2TiAg2S4, a structure optimized by DFT (GGA-PBE) gives the calculated powder XRD pattern in this record (Cu Kα X-rays).
Peak positions follow from Bragg's law for the DFT cell and can differ from measured ones.

Largest 8 diffraction maxima, in order of rising 2θ, 10° ≤ 2θ ≤ 80°:
2θ/deg	Rel. int.
13.1	26
20.8	26
24.7	37
26.3	27
28.8	69
32.5	100
42.4	41
50.5	65

```
Rb2TiAg2S4
1.0
6.034 0.000 0.000
0.000 6.034 0.000
0.000 0.000 13.534
Rb Ti Ag S
4 2 4 8
direct
0.239 0.239 0.000
0.239 0.761 0.500
0.761 0.239 0.500
0.761 0.761 0.000
0.500 0.500 0.250
0.500 0.500 0.750
0.000 0.500 0.250
0.000 0.500 0.750
0.500 0.000 0.250
0.500 0.000 0.750
0.285 0.285 0.354
0.285 0.285 0.646
0.285 0.715 0.146
0.285 0.715 0.854
0.715 0.285 0.146
0.715 0.285 0.854
0.715 0.715 0.354
0.715 0.715 0.646
```

---

# 7
For RbAg5Se3, a structure optimized by DFT (GGA-PBE) gives the calculated powder XRD pattern in this record (Cu Kα X-rays).
Peak positions follow from Bragg's law for the DFT cell and can differ from measured ones.

Largest 8 diffraction maxima, in order of rising 2θ, 10° ≤ 2θ ≤ 80°:
2θ/deg	Rel. int.
31.3	44
33.3	77
33.8	37
37.7	100
42.0	55
45.9	18
47.5	18
65.2	28

```
RbAg5Se3
1.0
6.091 0.000 0.000
0.000 6.091 0.000
0.000 0.000 11.481
Rb Ag Se
2 10 6
direct
0.250 0.750 0.000
0.750 0.250 0.000
0.048 0.548 0.311
0.048 0.952 0.689
0.250 0.250 0.500
0.452 0.548 0.689
0.452 0.952 0.311
0.548 0.048 0.689
0.548 0.452 0.311
0.750 0.750 0.500
0.952 0.048 0.311
0.952 0.452 0.689
0.250 0.250 0.175
0.250 0.250 0.825
0.250 0.750 0.500
0.750 0.250 0.500
0.750 0.750 0.175
0.750 0.750 0.825
```

---

# 8
For RbSm2Ag3Se5, a structure optimized by DFT (GGA-PBE) gives the calculated powder XRD pattern in this record (Cu Kα X-rays).
Peak positions follow from Bragg's law for the DFT cell and can differ from measured ones.

Largest 8 diffraction maxima, in order of rising 2θ, 10° ≤ 2θ ≤ 80°:
2θ/deg	Rel. int.
27.2	62
28.6	82
30.3	69
33.6	89
35.5	68
37.0	80
41.2	100
45.0	80

```
RbSm2Ag3Se5
1.0
2.192 -7.743 0.000
2.192 7.743 0.000
0.000 0.000 17.677
Rb Sm Ag Se
2 4 6 10
direct
0.064 0.936 0.750
0.936 0.064 0.250
0.191 0.809 0.095
0.191 0.809 0.405
0.809 0.191 0.595
0.809 0.191 0.905
0.339 0.661 0.750
0.414 0.586 0.037
0.414 0.586 0.463
0.586 0.414 0.537
0.586 0.414 0.963
0.661 0.339 0.250
0.179 0.821 0.571
0.179 0.821 0.929
0.257 0.743 0.250
0.435 0.565 0.619
0.435 0.565 0.881
0.565 0.435 0.119
0.565 0.435 0.381
0.743 0.257 0.750
0.821 0.179 0.071
0.821 0.179 0.429
```

---

# 9
For Rb3AgSn3Se8, a structure optimized by DFT (GGA-PBE) gives the calculated powder XRD pattern in this record (Cu Kα X-rays).
Peak positions follow from Bragg's law for the DFT cell and can differ from measured ones.

Largest 8 diffraction maxima, in order of rising 2θ, 10° ≤ 2θ ≤ 80°:
2θ/deg	Rel. int.
14.5	55
20.6	31
26.5	85
29.3	57
33.4	100
42.3	34
47.2	31
50.0	34

```
Rb3AgSn3Se8
1.0
8.615 0.000 0.000
0.000 8.615 0.000
0.000 0.000 13.738
Rb Ag Sn Se
6 2 6 16
direct
0.250 0.250 0.000
0.250 0.250 0.278
0.250 0.250 0.722
0.750 0.750 0.000
0.750 0.750 0.278
0.750 0.750 0.722
0.250 0.750 0.000
0.750 0.250 0.000
0.250 0.750 0.242
0.250 0.750 0.500
0.250 0.750 0.758
0.750 0.250 0.242
0.750 0.250 0.500
0.750 0.250 0.758
0.079 0.579 0.139
0.079 0.921 0.861
0.091 0.591 0.624
0.091 0.909 0.376
0.409 0.591 0.376
0.409 0.909 0.624
0.421 0.579 0.861
0.421 0.921 0.139
0.579 0.079 0.861
0.579 0.421 0.139
0.591 0.091 0.376
0.591 0.409 0.624
0.909 0.091 0.624
0.909 0.409 0.376
0.921 0.079 0.139
0.921 0.421 0.861
```